Al2P6Pt: calculated PXRD pattern (Cu Kα (λ = 1.5418 Å)), based on a structure optimized by DFT (GGA-PBE).

Structure:
Cell: 7.204 7.204 3.178 Å, 90.00 90.00 120.00°
Sites, in units of the cell vectors:
1 Al 0.333 0.667 0.000
2 Al 0.667 0.333 0.000
3 P 0.000 0.275 0.000
4 P 0.000 0.516 0.500
5 P 0.275 0.000 0.000
6 P 0.484 0.484 0.500
7 P 0.516 0.000 0.500
8 P 0.725 0.725 0.000
9 Pt 0.000 0.000 0.500

Principal peaks in the range 10 to 80 degrees two-theta, by intensity:
2θ = 14.20°, I = 100; 2θ = 40.52°, I = 76; 2θ = 28.62°, I = 45; 2θ = 24.72°, I = 42; 2θ = 48.05°, I = 38; 2θ = 31.59°, I = 37; 2θ = 37.75°, I = 23; 2θ = 43.52°, I = 21; 2θ = 50.69°, I = 16; 2θ = 58.95°, I = 15


Al2P3S9: calculated PXRD pattern (Cu Kα (λ = 1.5418 Å)), based on a structure optimized by DFT (GGA-PBE).

Structure:
Cell: 10.241 10.241 7.462 Å, 103.22 103.22 60.00°
Sites, in units of the cell vectors:
1 Al 0.000 0.000 0.000
2 Al 0.304 0.348 0.000
3 Al 0.652 0.348 0.000
4 Al 0.652 0.696 0.000
5 P 0.305 0.669 0.849
6 P 0.331 0.695 0.151
7 P 0.627 0.002 0.849
8 P 0.677 0.027 0.151
9 P 0.973 0.323 0.849
10 P 0.998 0.373 0.151
11 S 0.061 0.096 0.778
12 S 0.073 0.423 0.771
13 S 0.078 0.770 0.771
14 S 0.225 0.273 0.229
15 S 0.230 0.922 0.229
16 S 0.242 0.579 0.222
17 S 0.399 0.117 0.777
18 S 0.404 0.430 0.791
19 S 0.421 0.758 0.778
20 S 0.556 0.266 0.209
21 S 0.570 0.596 0.209
22 S 0.577 0.927 0.229
23 S 0.727 0.775 0.771
24 S 0.734 0.444 0.791
25 S 0.748 0.100 0.791
26 S 0.883 0.601 0.223
27 S 0.900 0.252 0.209
28 S 0.904 0.939 0.222

Principal peaks in the range 10 to 80 degrees two-theta, by intensity:
2θ = 12.30°, I = 100; 2θ = 34.59°, I = 100; 2θ = 24.74°, I = 43; 2θ = 53.71°, I = 35; 2θ = 31.37°, I = 28; 2θ = 45.51°, I = 18; 2θ = 30.52°, I = 16; 2θ = 17.80°, I = 15; 2θ = 59.99°, I = 15; 2θ = 52.48°, I = 15


Al2Sb2P: calculated PXRD pattern (Cu Kα (λ = 1.5418 Å)), based on a structure optimized by DFT (GGA-PBE).

Structure:
Cell: 6.508 6.508 6.508 Å, 138.17 138.17 60.65°
Sites, in units of the cell vectors:
1 Al 0.109 0.109 0.000
2 Al 0.891 0.891 0.000
3 Sb 0.250 0.750 0.500
4 Sb 0.750 0.250 0.500
5 P 0.500 0.500 0.000

Principal peaks in the range 10 to 80 degrees two-theta, by intensity:
2θ = 31.55°, I = 100; 2θ = 15.78°, I = 64; 2θ = 38.76°, I = 37; 2θ = 42.34°, I = 37; 2θ = 65.68°, I = 23; 2θ = 42.09°, I = 23; 2θ = 27.14°, I = 22; 2θ = 51.02°, I = 16; 2θ = 31.86°, I = 15; 2θ = 72.62°, I = 15


AlSbP2: calculated PXRD pattern (Cu Kα (λ = 1.5418 Å)), based on a structure optimized by DFT (GGA-PBE).

Structure:
Cell: 4.099 3.925 6.261 Å, 90.00 105.95 90.00°
Sites, in units of the cell vectors:
1 Al 0.000 0.000 0.000
2 Sb 0.553 0.500 0.534
3 P 0.015 0.500 0.212
4 P 0.411 0.000 0.776

Principal peaks in the range 10 to 80 degrees two-theta, by intensity:
2θ = 27.12°, I = 100; 2θ = 23.34°, I = 68; 2θ = 30.33°, I = 63; 2θ = 14.71°, I = 62; 2θ = 39.63°, I = 61; 2θ = 22.61°, I = 56; 2θ = 32.75°, I = 43; 2θ = 48.69°, I = 30; 2θ = 32.18°, I = 29; 2θ = 50.28°, I = 25


ScAl3P3: calculated PXRD pattern (Cu Kα (λ = 1.5418 Å)), based on a structure optimized by DFT (GGA-PBE).

Structure:
Cell: 4.225 4.225 16.551 Å, 90.00 90.00 120.00°
Sites, in units of the cell vectors:
1 Sc 0.000 0.000 0.000
2 Sc 0.000 0.000 0.500
3 Al 0.333 0.667 0.106
4 Al 0.333 0.667 0.394
5 Al 0.333 0.667 0.750
6 Al 0.667 0.333 0.250
7 Al 0.667 0.333 0.606
8 Al 0.667 0.333 0.894
9 P 0.333 0.667 0.250
10 P 0.333 0.667 0.589
11 P 0.333 0.667 0.911
12 P 0.667 0.333 0.089
13 P 0.667 0.333 0.411
14 P 0.667 0.333 0.750

Principal peaks in the range 10 to 80 degrees two-theta, by intensity:
2θ = 42.81°, I = 100; 2θ = 40.97°, I = 71; 2θ = 26.64°, I = 48; 2θ = 32.67°, I = 33; 2θ = 54.73°, I = 24; 2θ = 60.75°, I = 21; 2θ = 77.16°, I = 20; 2θ = 24.33°, I = 20; 2θ = 32.46°, I = 19; 2θ = 62.88°, I = 18


ScAlSn2P: calculated PXRD pattern (Cu Kα (λ = 1.5418 Å)), based on a structure optimized by DFT (GGA-PBE).

Structure:
Cell: 5.509 5.509 4.878 Å, 90.00 90.00 90.00°
Sites, in units of the cell vectors:
1 Sc 0.000 0.000 0.000
2 Al 0.500 0.500 0.500
3 Sn 0.000 0.500 0.000
4 Sn 0.500 0.000 0.000
5 P 0.000 0.000 0.500

Principal peaks in the range 10 to 80 degrees two-theta, by intensity:
2θ = 29.34°, I = 100; 2θ = 32.51°, I = 70; 2θ = 18.19°, I = 62; 2θ = 37.50°, I = 42; 2θ = 49.95°, I = 42; 2θ = 56.06°, I = 34; 2θ = 22.83°, I = 26; 2θ = 46.64°, I = 25; 2θ = 36.85°, I = 25; 2θ = 60.87°, I = 23


AlP7Se: calculated PXRD pattern (Cu Kα (λ = 1.5418 Å)), based on a structure optimized by DFT (GGA-PBE).

Structure:
Cell: 6.040 6.999 10.583 Å, 71.17 74.28 74.72°
Sites, in units of the cell vectors:
1 Al 0.000 0.000 0.000
2 Al 0.132 0.402 0.280
3 P 0.166 0.602 0.039
4 P 0.167 0.908 0.225
5 P 0.224 0.296 0.579
6 P 0.264 0.617 0.573
7 P 0.291 0.108 0.782
8 P 0.400 0.112 0.220
9 P 0.415 0.616 0.233
10 P 0.457 0.319 0.007
11 P 0.559 0.656 0.390
12 P 0.654 0.986 0.741
13 P 0.692 0.864 0.954
14 P 0.764 0.338 0.434
15 P 0.777 0.319 0.072
16 P 0.938 0.577 0.916
17 Se 0.817 0.344 0.643
18 Se 0.989 0.857 0.461

Principal peaks in the range 10 to 80 degrees two-theta, by intensity:
2θ = 26.84°, I = 100; 2θ = 19.51°, I = 94; 2θ = 34.32°, I = 74; 2θ = 16.31°, I = 58; 2θ = 28.84°, I = 45; 2θ = 14.16°, I = 37; 2θ = 30.60°, I = 33; 2θ = 41.70°, I = 32; 2θ = 28.56°, I = 32; 2θ = 27.01°, I = 31


AlPSe: calculated PXRD pattern (Cu Kα (λ = 1.5418 Å)), based on a structure optimized by DFT (GGA-PBE).

Structure:
Cell: 3.609 7.049 7.474 Å, 113.52 103.50 90.00°
Sites, in units of the cell vectors:
1 Al 0.207 0.123 0.411
2 Al 0.793 0.877 0.589
3 P 0.195 0.445 0.387
4 P 0.805 0.555 0.613
5 Se 0.372 0.120 0.752
6 Se 0.628 0.880 0.248

Principal peaks in the range 10 to 80 degrees two-theta, by intensity:
2θ = 13.36°, I = 100; 2θ = 25.36°, I = 85; 2θ = 13.78°, I = 84; 2θ = 30.39°, I = 71; 2θ = 30.58°, I = 70; 2θ = 24.66°, I = 67; 2θ = 42.13°, I = 44; 2θ = 35.92°, I = 33; 2θ = 26.91°, I = 30; 2θ = 42.49°, I = 30


AlSi2P: calculated PXRD pattern (Cu Kα (λ = 1.5418 Å)), based on a structure optimized by DFT (GGA-PBE).

Structure:
Cell: 6.593 6.593 6.593 Å, 30.56 30.56 30.56°
Sites, in units of the cell vectors:
1 Al 0.000 0.000 0.000
2 Si 0.240 0.240 0.240
3 Si 0.492 0.492 0.492
4 P 0.752 0.752 0.752

Principal peaks in the range 10 to 80 degrees two-theta, by intensity:
2θ = 35.40°, I = 100; 2θ = 49.12°, I = 35; 2θ = 52.69°, I = 30; 2θ = 65.08°, I = 16; 2θ = 74.89°, I = 10; 2θ = 58.81°, I = 6; 2θ = 14.10°, I = 4; 2θ = 45.20°, I = 1; 2θ = 62.38°, I = 1; 2θ = 70.43°, I = 1


Al4SiP4: calculated PXRD pattern (Cu Kα (λ = 1.5418 Å)), based on a structure optimized by DFT (GGA-PBE).

Structure:
Cell: 4.087 4.087 26.317 Å, 90.00 90.00 121.49°
Sites, in units of the cell vectors:
1 Al 0.000 0.000 0.000
2 Al 0.000 0.000 0.500
3 Al 0.003 0.997 0.692
4 Al 0.330 0.670 0.386
5 Al 0.333 0.667 0.615
6 Al 0.667 0.333 0.115
7 Al 0.670 0.330 0.886
8 Al 0.997 0.003 0.192
9 Si 0.326 0.674 0.831
10 Si 0.674 0.326 0.331
11 P 0.002 0.998 0.850
12 P 0.004 0.996 0.593
13 P 0.330 0.670 0.477
14 P 0.332 0.668 0.709
15 P 0.668 0.332 0.209
16 P 0.670 0.330 0.977
17 P 0.996 0.004 0.093
18 P 0.998 0.002 0.350

Principal peaks in the range 10 to 80 degrees two-theta, by intensity:
2θ = 44.35°, I = 100; 2θ = 25.79°, I = 77; 2θ = 27.11°, I = 70; 2θ = 40.26°, I = 47; 2θ = 45.42°, I = 47; 2θ = 20.25°, I = 38; 2θ = 52.75°, I = 37; 2θ = 25.21°, I = 36; 2θ = 13.46°, I = 31; 2θ = 49.08°, I = 30


Al4Si6P3: calculated PXRD pattern (Cu Kα (λ = 1.5418 Å)), based on a structure optimized by DFT (GGA-PBE).

Structure:
Cell: 4.047 4.047 15.553 Å, 90.00 90.00 120.00°
Sites, in units of the cell vectors:
1 Al 0.333 0.667 0.148
2 Al 0.333 0.667 0.757
3 Al 0.667 0.333 0.243
4 Al 0.667 0.333 0.852
5 Si 0.333 0.667 0.317
6 Si 0.333 0.667 0.475
7 Si 0.333 0.667 0.924
8 Si 0.667 0.333 0.076
9 Si 0.667 0.333 0.525
10 Si 0.667 0.333 0.683
11 P 0.000 0.000 0.000
12 P 0.000 0.000 0.376
13 P 0.000 0.000 0.624

Principal peaks in the range 10 to 80 degrees two-theta, by intensity:
2θ = 44.79°, I = 100; 2θ = 38.70°, I = 72; 2θ = 30.79°, I = 43; 2θ = 48.51°, I = 28; 2θ = 43.42°, I = 27; 2θ = 27.92°, I = 26; 2θ = 60.65°, I = 18; 2θ = 78.48°, I = 18; 2θ = 34.45°, I = 13; 2θ = 68.15°, I = 10


AlSi2P: calculated PXRD pattern (Cu Kα (λ = 1.5418 Å)), based on a structure optimized by DFT (GGA-PBE).

Structure:
Cell: 5.683 5.683 3.544 Å, 102.50 102.50 36.27°
Sites, in units of the cell vectors:
1 Al 0.000 0.000 0.000
2 Si 0.265 0.265 0.258
3 Si 0.735 0.735 0.742
4 P 0.500 0.500 0.500

Principal peaks in the range 10 to 80 degrees two-theta, by intensity:
2θ = 35.97°, I = 100; 2θ = 34.10°, I = 55; 2θ = 48.42°, I = 38; 2θ = 52.33°, I = 29; 2θ = 63.38°, I = 17; 2θ = 51.68°, I = 17; 2θ = 51.87°, I = 16; 2θ = 76.26°, I = 11; 2θ = 60.13°, I = 10; 2θ = 79.97°, I = 7


Al4Si6P3: calculated PXRD pattern (Cu Kα (λ = 1.5418 Å)), based on a structure optimized by DFT (GGA-PBE).

Structure:
Cell: 3.559 4.173 16.294 Å, 86.88 83.80 89.91°
Sites, in units of the cell vectors:
1 Al 0.074 0.316 0.364
2 Al 0.385 0.083 0.716
3 Al 0.615 0.917 0.284
4 Al 0.926 0.684 0.636
5 Si 0.228 0.988 0.046
6 Si 0.349 0.564 0.797
7 Si 0.468 0.302 0.566
8 Si 0.532 0.698 0.434
9 Si 0.651 0.436 0.203
10 Si 0.772 0.012 0.954
11 P 0.000 0.000 0.500
12 P 0.196 0.471 0.112
13 P 0.804 0.529 0.888

Principal peaks in the range 10 to 80 degrees two-theta, by intensity:
2θ = 31.71°, I = 100; 2θ = 35.50°, I = 49; 2θ = 28.63°, I = 47; 2θ = 53.54°, I = 46; 2θ = 51.34°, I = 40; 2θ = 43.48°, I = 36; 2θ = 33.86°, I = 33; 2θ = 48.83°, I = 28; 2θ = 36.07°, I = 28; 2θ = 37.93°, I = 23


Sr2Al2Si2P: calculated PXRD pattern (Cu Kα (λ = 1.5418 Å)), based on a structure optimized by DFT (GGA-PBE).

Structure:
Cell: 4.176 6.078 7.557 Å, 73.66 75.05 87.34°
Sites, in units of the cell vectors:
1 Sr 0.106 0.298 0.252
2 Sr 0.894 0.702 0.748
3 Al 0.417 0.185 0.743
4 Al 0.583 0.815 0.257
5 Si 0.172 0.835 0.059
6 Si 0.828 0.165 0.941
7 P 0.500 0.000 0.500

Principal peaks in the range 10 to 80 degrees two-theta, by intensity:
2θ = 29.78°, I = 100; 2θ = 28.85°, I = 86; 2θ = 16.85°, I = 78; 2θ = 25.41°, I = 75; 2θ = 30.08°, I = 74; 2θ = 34.07°, I = 66; 2θ = 34.19°, I = 65; 2θ = 27.24°, I = 64; 2θ = 43.41°, I = 60; 2θ = 30.67°, I = 58